No. 1
MnNi2H: computed XRD peak list (copper Kα), based on DFT lattice parameters and positions (PBE).
No peak broadening, texture or thermal motion is included.

Largest 10 diffraction maxima, sorted by position, 5° ≤ 2θ ≤ 70°:
14.7°, rel. 5.8
29.7°, rel. 9.3
37.2°, rel. 21.8
40.2°, rel. 56.2
45.3°, rel. 27.8
48.3°, rel. 100.0
53.6°, rel. 46.4
60.0°, rel. 4.2
61.8°, rel. 4.5
62.5°, rel. 4.4

Crystal structure
```
4
Lattice="2.4193 0.0000 0.0000 0.0000 2.4193 0.0000 0.0000 0.0000 6.0079" Properties=species:S:1:pos:R:3 pbc="T T T"
Mn 0.0000 0.0000 0.0000
Ni 1.2097 1.2097 1.7883
Ni 1.2097 1.2097 4.2196
H 0.0000 0.0000 3.0040
```


No. 2
Li17Cu12: computed XRD peak list (copper Kα), based on DFT lattice parameters and positions (PBE).
No peak broadening, texture or thermal motion is included.

Largest 10 diffraction maxima, sorted by position, 5° ≤ 2θ ≤ 70°:
13.3°, rel. 22.1
23.2°, rel. 100.0
26.8°, rel. 9.3
33.0°, rel. 8.4
35.7°, rel. 8.1
40.7°, rel. 35.2
45.2°, rel. 51.4
49.4°, rel. 29.8
53.3°, rel. 8.7
58.9°, rel. 12.8

Crystal structure
```
29
Lattice="-4.7032 4.7032 4.7032 4.7032 -4.7032 4.7032 4.7032 4.7032 -4.7032" Properties=species:S:1:pos:R:3 pbc="T T T"
Li 0.0000 0.0000 0.0000
Li 3.0521 3.0521 -3.0521
Li 5.1882 1.2880 -1.2880
Li 3.0521 -3.0521 3.0521
Li 5.1882 -1.2880 1.2880
Li 4.2183 1.2880 1.2880
Li 3.4153 3.4153 -0.4849
Li 3.4153 -0.4849 3.4153
Li 1.6511 1.6511 1.6511
Li 1.2880 5.1882 -1.2880
Li 1.2880 -1.2880 5.1882
Li 1.2880 4.2183 1.2880
Li 1.2880 1.2880 4.2183
Li -3.0521 3.0521 3.0521
Li -1.2880 5.1882 1.2880
Li -1.2880 1.2880 5.1882
Li -0.4849 3.4153 3.4153
Cu 2.6051 0.8653 -0.8653
Cu 2.6051 -0.8653 0.8653
Cu 6.8014 0.8653 0.8653
Cu 0.8653 2.6051 -0.8653
Cu 0.8653 -0.8653 2.6051
Cu -0.8653 2.6051 0.8653
Cu -0.8653 0.8653 2.6051
Cu 3.8380 3.8380 2.0981
Cu 3.8380 2.0981 3.8380
Cu 0.8653 6.8014 0.8653
Cu 0.8653 0.8653 6.8014
Cu 2.0981 3.8380 3.8380
```


No. 3
HoTm2Te4: computed XRD peak list (copper Kα), based on DFT lattice parameters and positions (PBE).
No peak broadening, texture or thermal motion is included.

Largest 10 diffraction maxima, sorted by position, 5° ≤ 2θ ≤ 70°:
13.3°, rel. 16.3
23.8°, rel. 17.2
26.9°, rel. 84.9
34.6°, rel. 18.8
34.8°, rel. 100.0
41.8°, rel. 41.7
42.0°, rel. 21.2
45.2°, rel. 14.3
55.5°, rel. 16.4
68.2°, rel. 19.8

Crystal structure
```
14
Lattice="16.1057 0.0000 0.0000 0.0000 4.3051 0.0000 -3.4549 0.0000 6.6542" Properties=species:S:1:pos:R:3 pbc="T T T"
Ho 0.0000 0.0000 0.0000
Ho 8.0529 2.1525 0.0000
Tm 1.4240 2.1525 4.8551
Tm 3.1739 0.0000 1.7991
Tm 9.4769 0.0000 4.8551
Tm 11.2268 2.1525 1.7991
Te 0.3775 0.0000 3.0256
Te -1.2440 2.1525 6.4235
Te 5.8419 0.0000 0.2307
Te 4.2204 2.1525 3.6287
Te 8.4304 2.1525 3.0256
Te 6.8089 0.0000 6.4235
Te 13.8947 2.1525 0.2307
Te 12.2733 0.0000 3.6287
```